(1)
Starting from a crystal structure in Alexandria, relaxed with GGA-PBE, the powder diffraction line list of LiHgAsO4 was simulated for Cu Kα, 1.54184 Å.

Most intense lines, 10 to 80 degrees two-theta, most intense first:
20.30 deg, I 100.0, (1 0 1)
33.08 deg, I 56.6, (1 1 2)
40.09 deg, I 37.2, (2 1 1)
38.13 deg, I 20.6, (1 0 3)
60.51 deg, I 19.4, (3 1 2)
34.19 deg, I 17.1, (2 0 0)

```
data_LiHgAsO4
_symmetry_space_group_name_H-M 'I -4'
_symmetry_Int_Tables_number 82
_cell_length_a 5.2450
_cell_length_b 5.2450
_cell_length_c 7.9285
_cell_angle_alpha 90.00
_cell_angle_beta 90.00
_cell_angle_gamma 90.00
loop_
_symmetry_equiv_pos_as_xyz
'x,y,z'
'y,-x,-z'
'-x,-y,z'
'-y,x,-z'
'x+1/2,y+1/2,z+1/2'
'y+1/2,-x+1/2,-z+1/2'
'-x+1/2,-y+1/2,z+1/2'
'-y+1/2,x+1/2,-z+1/2'
loop_
_atom_site_label
_atom_site_type_symbol
_atom_site_fract_x
_atom_site_fract_y
_atom_site_fract_z
Li1 Li 0.0000 0.0000 0.0000
Hg1 Hg 0.0000 0.0000 0.5000
As1 As 0.0000 0.5000 0.2500
O1 O 0.1693 0.2858 0.1278
```

***

(2)
Starting from a crystal structure in Alexandria, relaxed with GGA-PBE, the powder diffraction line list of Sr2Li3HgAs4 was simulated for Cu Kα, 1.54184 Å.

Most intense lines, 10 to 80 degrees two-theta, most intense first:
33.05 deg, I 100.0, (1 1 2)
40.99 deg, I 39.8, (2 0 0)
25.91 deg, I 35.7, (1 0 2)
21.74 deg, I 32.3, (1 0 1)
31.73 deg, I 28.3, (1 0 3)
69.65 deg, I 23.0, (3 1 2)

```
data_Sr2Li3HgAs4
_symmetry_space_group_name_H-M 'P -4 m 2'
_symmetry_Int_Tables_number 115
_cell_length_a 4.4035
_cell_length_b 4.4035
_cell_length_c 11.0149
_cell_angle_alpha 90.00
_cell_angle_beta 90.00
_cell_angle_gamma 90.00
loop_
_symmetry_equiv_pos_as_xyz
'x,y,z'
'y,-x,-z'
'-x,-y,z'
'-y,x,-z'
'-x,y,z'
'-y,-x,-z'
'x,-y,z'
'y,x,-z'
loop_
_atom_site_label
_atom_site_type_symbol
_atom_site_fract_x
_atom_site_fract_y
_atom_site_fract_z
Sr1 Sr 0.0000 0.5000 0.2363
Li1 Li 0.0000 0.5000 0.8787
Li2 Li 0.5000 0.5000 0.5000
Hg1 Hg 0.0000 0.0000 0.5000
As1 As 0.0000 0.0000 0.0000
As2 As 0.0000 0.5000 0.6518
As3 As 0.5000 0.5000 0.0000
```